(1)
Structure and calculated powder XRD pattern of UWC2 (the PBE geometry in the Materials Project; Cu Kα (weighted mean of Kα1 and Kα2)).

```
data_UWC2
_chemical_formula_sum 'U4 W4 C8'
_cell_length_a 5.2786
_cell_length_b 3.9349
_cell_length_c 10.6628
_cell_angle_alpha 90.00
_cell_angle_beta 90.00
_cell_angle_gamma 90.00
_symmetry_space_group_name_H-M 'P 1'
_symmetry_Int_Tables_number 1
loop_
_symmetry_equiv_pos_as_xyz
'x,y,z'
loop_
_atom_site_label
_atom_site_fract_x
_atom_site_fract_y
_atom_site_fract_z
U1 0.1202 0.2500 0.1295
U2 0.3798 0.7500 0.6295
U3 0.6202 0.2500 0.3705
U4 0.8798 0.7500 0.8705
W1 0.0969 0.7500 0.3951
W2 0.4031 0.2500 0.8951
W3 0.5969 0.7500 0.1049
W4 0.9031 0.2500 0.6049
C1 0.1400 0.2500 0.3435
C2 0.2338 0.2500 0.4886
C3 0.2662 0.7500 0.9886
C4 0.3600 0.7500 0.8435
C5 0.6400 0.2500 0.1565
C6 0.7338 0.2500 0.0114
C7 0.7662 0.7500 0.5114
C8 0.8600 0.7500 0.6565
```

Main lines, low angle first (5 to 70 degrees two-theta):
2θ/deg	d_spacing	I_rel
29.53	3.025	43
32.99	2.715	100
33.62	2.666	38
35.02	2.562	36
38.14	2.359	20
42.67	2.119	25
46.14	1.967	20
58.07	1.588	16
58.29	1.583	16
59.21	1.560	16

(2)
Structure and calculated powder XRD pattern of U2W2C3 (the PBE geometry in the Materials Project; Cu Kα (weighted mean of Kα1 and Kα2)).

```
data_U2W2C3
_chemical_formula_sum 'U2 W2 C3'
_cell_length_a 5.9751
_cell_length_b 5.9751
_cell_length_c 5.5614
_cell_angle_alpha 104.42
_cell_angle_beta 104.42
_cell_angle_gamma 30.56
_symmetry_space_group_name_H-M 'P 1'
_symmetry_Int_Tables_number 1
loop_
_symmetry_equiv_pos_as_xyz
'x,y,z'
loop_
_atom_site_label
_atom_site_fract_x
_atom_site_fract_y
_atom_site_fract_z
U1 0.1025 0.1025 0.3346
U2 0.8975 0.8975 0.6654
W1 0.3460 0.3460 0.1331
W2 0.6540 0.6540 0.8669
C1 0.2490 0.2490 0.7390
C2 0.5000 0.5000 0.0000
C3 0.7510 0.7510 0.2610
```

Main lines, low angle first (5 to 70 degrees two-theta):
2θ/deg	d_spacing	I_rel
32.15	2.784	59
33.07	2.709	53
35.00	2.564	100
38.41	2.343	76
40.89	2.207	27
50.16	1.819	16
57.95	1.591	25
58.62	1.575	14
68.45	1.371	15
68.98	1.361	14

(3)
Structure and calculated powder XRD pattern of ZrUC2 (the PBE geometry in the Materials Project; Cu Kα (weighted mean of Kα1 and Kα2)).

```
data_ZrUC2
_chemical_formula_sum 'Zr1 U1 C2'
_cell_length_a 6.0214
_cell_length_b 6.0214
_cell_length_c 6.0214
_cell_angle_alpha 32.79
_cell_angle_beta 32.79
_cell_angle_gamma 32.79
_symmetry_space_group_name_H-M 'P 1'
_symmetry_Int_Tables_number 1
loop_
_symmetry_equiv_pos_as_xyz
'x,y,z'
loop_
_atom_site_label
_atom_site_fract_x
_atom_site_fract_y
_atom_site_fract_z
Zr1 0.0000 0.0000 0.0000
U1 0.5000 0.5000 0.5000
C1 0.2505 0.2505 0.2505
C2 0.7495 0.7495 0.7495
```

Main lines, low angle first (5 to 70 degrees two-theta):
2θ/deg	d_spacing	I_rel
15.57	5.693	35
30.83	2.901	22
31.43	2.846	35
32.17	2.783	100
37.10	2.423	89
52.99	1.728	32
53.96	1.699	30
62.92	1.477	16
63.79	1.459	30
67.29	1.391	16

(4)
Structure and calculated powder XRD pattern of VC (the PBE geometry in the Materials Project; Cu Kα (weighted mean of Kα1 and Kα2)).

```
data_VC
_chemical_formula_sum 'V1 C1'
_cell_length_a 2.9429
_cell_length_b 2.9429
_cell_length_c 2.9429
_cell_angle_alpha 60.00
_cell_angle_beta 60.00
_cell_angle_gamma 60.00
_symmetry_space_group_name_H-M 'P 1'
_symmetry_Int_Tables_number 1
loop_
_symmetry_equiv_pos_as_xyz
'x,y,z'
loop_
_atom_site_label
_atom_site_fract_x
_atom_site_fract_y
_atom_site_fract_z
V1 0.0000 0.0000 0.0000
C1 0.5000 0.5000 0.5000
```

Main lines, low angle first (5 to 70 degrees two-theta):
2θ/deg	d_spacing	I_rel
37.43	2.403	93
43.49	2.081	100
63.19	1.471	56

(5)
Structure and calculated powder XRD pattern of VC (the PBE geometry in the Materials Project; Cu Kα (weighted mean of Kα1 and Kα2)).

```
data_VC
_chemical_formula_sum 'V2 C2'
_cell_length_a 2.9261
_cell_length_b 2.9261
_cell_length_c 4.9013
_cell_angle_alpha 90.00
_cell_angle_beta 90.00
_cell_angle_gamma 120.00
_symmetry_space_group_name_H-M 'P 1'
_symmetry_Int_Tables_number 1
loop_
_symmetry_equiv_pos_as_xyz
'x,y,z'
loop_
_atom_site_label
_atom_site_fract_x
_atom_site_fract_y
_atom_site_fract_z
V1 0.3333 0.6667 0.0000
V2 0.6667 0.3333 0.5000
C1 0.0000 0.0000 0.2487
C2 0.0000 0.0000 0.7487
```

Main lines, low angle first (5 to 70 degrees two-theta):
2θ/deg	d_spacing	I_rel
35.42	2.534	8
36.67	2.451	18
40.06	2.251	100
51.90	1.762	27
63.60	1.463	20
68.31	1.373	18

(6)
Structure and calculated powder XRD pattern of V2C (the PBE geometry in the Materials Project; Cu Kα (weighted mean of Kα1 and Kα2)).

```
data_V2C
_chemical_formula_sum 'V4 C2'
_cell_length_a 2.9456
_cell_length_b 2.9456
_cell_length_c 9.2748
_cell_angle_alpha 90.00
_cell_angle_beta 90.00
_cell_angle_gamma 120.00
_symmetry_space_group_name_H-M 'P 1'
_symmetry_Int_Tables_number 1
loop_
_symmetry_equiv_pos_as_xyz
'x,y,z'
loop_
_atom_site_label
_atom_site_fract_x
_atom_site_fract_y
_atom_site_fract_z
V1 0.3333 0.6667 0.1174
V2 0.3333 0.6667 0.3826
V3 0.6667 0.3333 0.6174
V4 0.6667 0.3333 0.8826
C1 0.0000 0.0000 0.0000
C2 0.0000 0.0000 0.5000
```

Main lines, low angle first (5 to 70 degrees two-theta):
2θ/deg	d_spacing	I_rel
19.14	4.637	13
35.18	2.551	26
36.53	2.460	100
38.84	2.319	32
40.35	2.235	1
46.13	1.968	69
53.40	1.716	30
61.84	1.500	11
63.13	1.473	30
66.62	1.404	1